For Ba2InNi4Sn, a DFT-relaxed cell (GGA-PBE, OQMD) gives the theoretical X-ray diffraction stick pattern in this record (Cu Kα X-rays).
Intensities are scaled so that the largest is 100.

Peak list (6 most intense, 10 to 90 degrees two-theta, by intensity)
2.222 Å, I 100.0; 1.735 Å, I 78.6; 2.669 Å, I 66.3; 3.164 Å, I 55.5; 2.778 Å, I 54.3; 3.637 Å, I 47.4

Crystal structure
```
8
Lattice="4.4441 0.0000 0.0000 -2.2221 3.8487 0.0000 0.0000 0.0000 11.1117" Properties=species:S:1:pos:R:3 pbc="T T T"
Ba 0.0000 2.5658 2.7834
Ba 2.2221 1.2829 8.3283
In 0.0000 0.0000 5.5559
Ni 0.0000 2.5658 5.8449
Ni 0.0000 2.5658 10.8076
Ni 2.2221 1.2829 0.3041
Ni 2.2221 1.2829 5.2668
Sn 0.0000 0.0000 0.0000
```

For Al10Co3, a DFT-relaxed cell (GGA-PBE, OQMD) gives the theoretical X-ray diffraction stick pattern in this record (Cu Kα X-rays).
Intensities are scaled so that the largest is 100.

Peak list (6 most intense, 10 to 90 degrees two-theta, by intensity)
2.497 Å, I 100.0; 2.088 Å, I 74.0; 1.999 Å, I 62.8; 4.107 Å, I 52.2; 1.896 Å, I 49.1; 2.168 Å, I 49.1

Crystal structure
```
13
Lattice="2.4968 1.4416 8.7417 -2.4968 1.4416 8.7417 0.0000 -2.8831 8.7417" Properties=species:S:1:pos:R:3 pbc="T T T"
Al -1.2518 -0.7227 11.1213
Al 0.0000 0.0000 3.9094
Al 0.0000 0.0000 8.7400
Al 0.0000 -1.4455 15.1036
Al -1.2518 0.7227 15.1036
Al 1.2518 -0.7227 11.1213
Al 0.0000 1.4455 11.1213
Al 0.0000 0.0000 17.4849
Al 0.0000 0.0000 22.3155
Al 1.2518 0.7227 15.1036
Co 0.0000 0.0000 1.4619
Co 0.0000 0.0000 13.1125
Co 0.0000 0.0000 24.7630
```

For Gd2Si4IrPd, a DFT-relaxed cell (GGA-PBE, OQMD) gives the theoretical X-ray diffraction stick pattern in this record (Cu Kα X-rays).
Intensities are scaled so that the largest is 100.

Peak list (6 most intense, 10 to 90 degrees two-theta, by intensity)
2.917 Å, I 100.0; 2.605 Å, I 68.3; 2.967 Å, I 48.3; 2.615 Å, I 47.6; 1.639 Å, I 33.7; 2.108 Å, I 30.6

Crystal structure
```
8
Lattice="4.2165 0.0000 0.0000 0.0000 2.0814 8.3501 0.0000 -2.0814 8.3501" Properties=species:S:1:pos:R:3 pbc="T T T"
Gd 0.0000 0.0000 0.0000
Gd 2.1082 0.0000 3.4816
Si 0.0000 0.0000 5.9541
Si 0.0000 0.0000 10.6371
Si 2.1082 0.0000 9.4569
Si 2.1082 0.0000 14.2670
Ir 2.1082 0.0000 7.1066
Pd 0.0000 0.0000 13.0111
```

For PmMgPd, a DFT-relaxed cell (GGA-PBE, OQMD) gives the theoretical X-ray diffraction stick pattern in this record (Cu Kα X-rays).
Intensities are scaled so that the largest is 100.

Peak list (6 most intense, 10 to 90 degrees two-theta, by intensity)
2.648 Å, I 100.0; 2.821 Å, I 47.3; 3.411 Å, I 31.5; 2.155 Å, I 29.7; 2.692 Å, I 29.4; 2.118 Å, I 27.8

Crystal structure
```
12
Lattice="7.2787 0.0000 0.0000 0.0000 4.3103 0.0000 0.0000 0.0000 8.6916" Properties=species:S:1:pos:R:3 pbc="T T T"
Pm 0.3023 1.0776 1.5729
Pm 3.3370 3.2327 5.9187
Pm 3.9417 1.0776 2.7729
Pm 6.9764 3.2327 7.1187
Mg 0.9804 1.0776 4.8710
Mg 2.6590 3.2327 0.5252
Mg 4.6197 1.0776 8.1663
Mg 6.2983 3.2327 3.8205
Pd 1.8115 3.2327 3.2940
Pd 1.8278 1.0776 7.6398
Pd 5.4509 3.2327 1.0518
Pd 5.4672 1.0776 5.3975
```

Repeat the first record exactly.
For Ba2InNi4Sn, a DFT-relaxed cell (GGA-PBE, OQMD) gives the theoretical X-ray diffraction stick pattern in this record (Cu Kα X-rays).
Intensities are scaled so that the largest is 100.

Peak list (6 most intense, 10 to 90 degrees two-theta, by intensity)
2.222 Å, I 100.0; 1.735 Å, I 78.6; 2.669 Å, I 66.3; 3.164 Å, I 55.5; 2.778 Å, I 54.3; 3.637 Å, I 47.4

Crystal structure
```
8
Lattice="4.4441 0.0000 0.0000 -2.2221 3.8487 0.0000 0.0000 0.0000 11.1117" Properties=species:S:1:pos:R:3 pbc="T T T"
Ba 0.0000 2.5658 2.7834
Ba 2.2221 1.2829 8.3283
In 0.0000 0.0000 5.5559
Ni 0.0000 2.5658 5.8449
Ni 0.0000 2.5658 10.8076
Ni 2.2221 1.2829 0.3041
Ni 2.2221 1.2829 5.2668
Sn 0.0000 0.0000 0.0000
```

Question: What is the formula in the third record?
Answer: Gd2Si4IrPd